Entry 1:
This entry pairs a crystal structure of Li9Mn2Co5O16 with its simulated X-ray diffraction stick pattern. Radiation: Cu Kα. Structure: DFT lattice parameters and positions (GGA+U).
Intensities are scaled so that the largest is 100.

Cell and atoms:
```
Li9Mn2Co5O16
1.0
3.0039 0.0000 0.0000
-0.1578 5.0054 0.0000
-0.9597 -1.4935 19.3140
Li Mn Co O
9 2 5 16
direct
0.0000 0.0000 0.0000 Li
0.0499 0.6877 0.1184 Li
0.1015 0.3733 0.2382 Li
0.2380 0.7481 0.4910 Li
0.3568 0.1249 0.7406 Li
0.4919 0.5113 0.0001 Li
0.6172 0.8630 0.2391 Li
0.7350 0.2509 0.4922 Li
0.8577 0.6257 0.7392 Li
0.4270 0.8133 0.8687 Mn
0.9269 0.3126 0.8686 Mn
0.1734 0.0612 0.3665 Co
0.2980 0.4369 0.6167 Co
0.5501 0.1868 0.1182 Co
0.6733 0.5605 0.3661 Co
0.7991 0.9369 0.6164 Co
0.0363 0.3274 0.0643 O
0.0632 0.0477 0.1717 O
0.1552 0.7229 0.3076 O
0.1910 0.4001 0.4248 O
0.2807 0.1048 0.5605 O
0.3184 0.7688 0.6734 O
0.3593 0.4788 0.8095 O
0.4932 0.1487 0.9261 O
0.5186 0.8836 0.0627 O
0.5815 0.4898 0.1736 O
0.6532 0.2208 0.3098 O
0.6975 0.8978 0.4247 O
0.7336 0.5997 0.5600 O
0.8562 0.9783 0.8086 O
0.8638 0.2731 0.6740 O
0.9952 0.6467 0.9283 O
```

Main lines, low angle first (2θ = 10–90°):
| d/Å | Position (°2θ) | Rel. int. | h k l |
| --- | --- | --- | --- |
| 4.828 | 18.4 | 100.0 | 0 0 4 |
| 2.586 | 34.7 | 18.1 | 1 -1 1 |
| 2.500 | 35.9 | 14.5 | 1 1 -2 |
| 2.451 | 36.7 | 11.4 | 0 2 1 |
| 2.158 | 41.9 | 32.2 | 1 -1 5 |
| 2.075 | 43.6 | 28.2 | 1 1 -6 |
| 2.026 | 44.7 | 25.5 | 0 2 5 |
| 1.501 | 61.8 | 8.4 | 2 0 -1 |
| 1.491 | 62.3 | 8.0 | 0 2 -11 |
| 1.477 | 62.9 | 15.4 | 1 -3 0 |

***

Entry 2:
This entry pairs a crystal structure of Li2VC2O6 with its simulated X-ray diffraction stick pattern. Radiation: Cu Kα. Structure: DFT lattice parameters and positions (GGA+U).
Intensities are scaled so that the largest is 100.

Cell and atoms:
```
Li2VC2O6
1.0
5.3380 0.0000 0.0000
2.5790 5.8721 0.0000
2.3983 -0.0884 8.3327
Li V C O
4 2 4 12
direct
0.0000 0.0000 0.0000 Li
0.0745 0.4901 0.8421 Li
0.2767 0.0894 0.3226 Li
0.7115 0.5658 0.5069 Li
0.3462 0.5570 0.1708 V
0.5873 0.0433 0.6663 V
0.3072 0.4439 0.4711 C
0.4823 0.1482 0.9673 C
0.5243 0.6472 0.8695 C
0.8739 0.9597 0.3672 C
0.0460 0.9143 0.2236 O
0.1116 0.4516 0.4041 O
0.2675 0.6502 0.9233 O
0.2734 0.1478 0.9158 O
0.3041 0.3829 0.6177 O
0.4510 0.2029 0.1130 O
0.5094 0.4973 0.3794 O
0.6260 0.6909 0.7224 O
0.6279 0.9449 0.4072 O
0.6730 0.6009 0.9738 O
0.7263 0.0936 0.8637 O
0.9526 0.0202 0.4782 O
```

Main lines, low angle first (2θ = 10–90°):
| d/Å | Position (°2θ) | Rel. int. | h k l |
| --- | --- | --- | --- |
| 4.776 | 18.6 | 15.6 | 0 1 1 |
| 4.721 | 18.8 | 53.2 | 1 0 0 |
| 4.668 | 19.0 | 100.0 | 1 0 1 |
| 4.596 | 19.3 | 57.1 | 1 1 1 |
| 3.130 | 28.5 | 14.7 | 1 -1 0 |
| 3.094 | 28.9 | 14.6 | 1 2 0 |
| 2.936 | 30.4 | 38.2 | 0 2 0 |
| 2.778 | 32.2 | 19.8 | 0 2 -1 |
| 2.760 | 32.4 | 21.1 | 0 2 1 |
| 2.084 | 43.4 | 23.1 | 0 0 4 |